# Ca4CoSi8Ni3O24
Computed XRD peak list, a wavelength of 1.5418 Å. Input: a PBE+U-relaxed structure.
Lines closer than 0.1° are merged.

Peak list (10 most intense, 2θ from 15° to 90°, by angle)
two_theta	I (rel.)	h k l
29.51	100	1 2 1
29.92	40	0 1 3
34.63	38	1 3 0
35.22	44	2 0 -2
35.36	46	1 2 -3
41.86	26	1 3 2
51.65	17	0 5 1
55.86	17	1 3 4
56.02	17	3 2 -1
64.88	19	1 3 -6

Crystal structure
```
data_Ca4CoSi8Ni3O24
_chemical_formula_sum 'Ca4 Co1 Si8 Ni3 O24'
_cell_length_a 5.3064
_cell_length_b 9.0063
_cell_length_c 9.8342
_cell_angle_alpha 90.00
_cell_angle_beta 105.05
_cell_angle_gamma 90.00
_space_group_name_H-M_alt 'P 1'
_space_group_IT_number 1
loop_
_space_group_symop_operation_xyz
'x,y,z'
loop_
_atom_site_label
_atom_site_type_symbol
_atom_site_fract_x
_atom_site_fract_y
_atom_site_fract_z
_atom_site_occupancy
Ca1 Ca 0.0000 0.0000 0.0000 1
Ca2 Ca 0.0000 0.0933 0.5000 1
Ca3 Ca 0.5000 0.4996 0.5000 1
Ca4 Ca 0.5000 0.5932 0.0000 1
Co1 Co 0.0000 0.7028 0.5000 1
Si1 Si 0.1924 0.3884 0.7138 1
Si2 Si 0.1939 0.7039 0.2126 1
Si3 Si 0.3073 0.8902 0.7870 1
Si4 Si 0.3079 0.2033 0.2867 1
Si5 Si 0.6921 0.2033 0.7133 1
Si6 Si 0.6927 0.8902 0.2130 1
Si7 Si 0.8061 0.7039 0.7874 1
Si8 Si 0.8076 0.3884 0.2862 1
Ni1 Ni 0.0000 0.3881 0.0000 1
Ni2 Ni 0.5000 0.2049 0.0000 1
Ni3 Ni 0.5000 0.8883 0.5000 1
O1 O 0.1028 0.7801 0.8498 1
O2 O 0.1050 0.3139 0.3504 1
O3 O 0.2086 0.5470 0.1377 1
O4 O 0.2105 0.5456 0.6398 1
O5 O 0.2232 0.2093 0.1158 1
O6 O 0.2246 0.8856 0.6161 1
O7 O 0.2769 0.3833 0.8847 1
O8 O 0.2809 0.7088 0.3835 1
O9 O 0.2903 0.0465 0.3613 1
O10 O 0.2907 0.0469 0.8619 1
O11 O 0.3948 0.2783 0.6496 1
O12 O 0.3966 0.8139 0.1485 1
O13 O 0.6034 0.8139 0.8515 1
O14 O 0.6052 0.2783 0.3504 1
O15 O 0.7093 0.0469 0.1381 1
O16 O 0.7097 0.0465 0.6387 1
O17 O 0.7191 0.7088 0.6165 1
O18 O 0.7231 0.3833 0.1153 1
O19 O 0.7754 0.8856 0.3839 1
O20 O 0.7768 0.2093 0.8842 1
O21 O 0.7895 0.5456 0.3602 1
O22 O 0.7914 0.5470 0.8623 1
O23 O 0.8950 0.3139 0.6496 1
O24 O 0.8972 0.7801 0.1502 1
```